Calculated X-ray diffraction stick pattern of Tm4B3Rh12Pb for Cu Kα (weighted mean of Kα1 and Kα2), from a cell relaxed with GGA-PBE.
Kinematic intensities with the Lorentz-polarization factor, no thermal factor.

Principal peaks in the range 5° ≤ 2θ ≤ 70°, in order of falling intensity:
35.62 deg, I = 100
41.37 deg, I = 79
59.93 deg, I = 49
28.93 deg, I = 24
38.58 deg, I = 15
32.43 deg, I = 11
48.93 deg, I = 9
51.26 deg, I = 8
67.90 deg, I = 7
44.00 deg, I = 6

Atomic structure:
```
data_Tm4B3Rh12Pb
_cell_length_a 8.7307
_cell_length_b 8.7307
_cell_length_c 8.7307
_cell_angle_alpha 90.00
_cell_angle_beta 90.00
_cell_angle_gamma 90.00
_space_group_name_H-M_alt 'I m -3 m'
_space_group_IT_number 229
_space_group_name_Hall '-I 4 2 3'
loop_
_atom_site_label
_atom_site_type_symbol
_atom_site_fract_x
_atom_site_fract_y
_atom_site_fract_z
_atom_site_occupancy
Tm1 Tm 0.2500 0.2500 0.2500 1
B1 B 0.0000 0.0000 0.5000 1
Rh1 Rh 0.0000 0.0000 0.2822 1
Rh2 Rh 0.0000 0.2500 0.5000 1
Pb1 Pb 0.0000 0.0000 0.0000 1
```


Calculated X-ray diffraction stick pattern of BSb2Pb4 for Cu Kα (weighted mean of Kα1 and Kα2), from a cell relaxed with GGA-PBE.
Kinematic intensities with the Lorentz-polarization factor, no thermal factor.

Principal peaks in the range 5° ≤ 2θ ≤ 70°, in order of falling intensity:
33.40 deg, I = 100
27.81 deg, I = 90
36.66 deg, I = 61
49.23 deg, I = 44
31.70 deg, I = 37
63.94 deg, I = 32
52.81 deg, I = 22
62.92 deg, I = 21
60.73 deg, I = 21
60.87 deg, I = 20

Atomic structure:
```
data_BSb2Pb4
_cell_length_a 4.9029
_cell_length_b 4.9029
_cell_length_c 16.9367
_cell_angle_alpha 90.00
_cell_angle_beta 90.00
_cell_angle_gamma 90.00
_space_group_name_H-M_alt 'I 4/m m m'
_space_group_IT_number 139
_space_group_name_Hall '-I 4 2'
loop_
_atom_site_label
_atom_site_type_symbol
_atom_site_fract_x
_atom_site_fract_y
_atom_site_fract_z
_atom_site_occupancy
B1 B 0.0000 0.0000 0.0000 1
Sb1 Sb 0.0000 0.0000 0.3575 1
Pb1 Pb 0.0000 0.0000 0.1633 1
Pb2 Pb 0.0000 0.5000 0.0000 1
```


Calculated X-ray diffraction stick pattern of YBPb2 for Cu Kα (weighted mean of Kα1 and Kα2), from a cell relaxed with GGA-PBE.
Kinematic intensities with the Lorentz-polarization factor, no thermal factor.

Principal peaks in the range 5° ≤ 2θ ≤ 70°, in order of falling intensity:
29.31 deg, I = 100
33.26 deg, I = 100
22.69 deg, I = 43
32.31 deg, I = 42
37.38 deg, I = 35
44.18 deg, I = 32
47.05 deg, I = 29
60.99 deg, I = 28
62.16 deg, I = 23
65.03 deg, I = 18

Atomic structure:
```
data_YBPb2
_cell_length_a 7.8380
_cell_length_b 7.8380
_cell_length_c 6.1642
_cell_angle_alpha 90.00
_cell_angle_beta 90.00
_cell_angle_gamma 90.00
_space_group_name_H-M_alt 'I -4 2 d'
_space_group_IT_number 122
_space_group_name_Hall 'I -4 2bw'
loop_
_atom_site_label
_atom_site_type_symbol
_atom_site_fract_x
_atom_site_fract_y
_atom_site_fract_z
_atom_site_occupancy
Y1 Y 0.0000 0.0000 0.0000 1
B1 B 0.0000 0.0000 0.5000 1
Pb1 Pb 0.1737 0.2500 0.6250 1
```